(1)
# Pr2GaAgTe5
Calculated powder XRD pattern, Cu Kα (weighted mean of Kα1 and Kα2). Input: a crystal structure in Alexandria, relaxed with PBE.
Intensities are scaled so that the largest is 100.

Structural model:
Unit cell a=4.311 b=19.844 c=12.822 alpha=90.00 beta=90.00 gamma=90.00
Space group Cmc2_1 (No. 36)
Symmetry-distinct sites (fractional):
Pr (0.000, 0.116, 0.000)
Pr (0.000, 0.128, 0.617)
Ga (0.000, 0.426, 0.776)
Ag (0.000, 0.221, 0.338)
Te (0.000, 0.042, 0.390)
Te (0.000, 0.286, 0.990)
Te (0.000, 0.313, 0.667)
Te (0.000, 0.363, 0.312)
Te (0.000, 0.498, 0.599)

Principal peaks in the range 2θ from 10° to 80°, in order of rising 2θ:
2θ = 25.30°, I 24, hkl 1 1 2; 2θ = 27.86°, I 58, hkl 0 6 1; 2θ = 28.36°, I 24, hkl 1 3 2; 2θ = 29.78°, I 100, hkl 1 1 3; 2θ = 33.73°, I 66, hkl 1 5 2; 2θ = 41.91°, I 37, hkl 2 0 0

---

(2)
# LiTl3Si
Calculated powder XRD pattern, Cu Kα (weighted mean of Kα1 and Kα2). Input: a crystal structure in Alexandria, relaxed with PBE.
Intensities are scaled so that the largest is 100.

Structural model:
Unit cell a=5.469 b=5.469 c=5.469 alpha=90.00 beta=90.00 gamma=90.00
Space group Pm-3m (No. 221)
Symmetry-distinct sites (fractional):
Li (0.000, 0.000, 0.000)
Tl (0.000, 0.500, 0.500)
Si (0.500, 0.500, 0.500)

Principal peaks in the range 2θ from 10° to 80°, in order of rising 2θ:
2θ = 16.21°, I 43, hkl 1 0 0; 2θ = 28.26°, I 100, hkl 1 1 1; 2θ = 32.75°, I 62, hkl 2 0 0; 2θ = 36.75°, I 23, hkl 2 1 0; 2θ = 47.00°, I 46, hkl 2 2 0; 2θ = 55.75°, I 47, hkl 3 1 1

---

(3)
# Pu6Rh5
Calculated powder XRD pattern, Cu Kα (weighted mean of Kα1 and Kα2). Input: a crystal structure in Alexandria, relaxed with PBE.
Intensities are scaled so that the largest is 100.

Structural model:
Unit cell a=4.769 b=6.479 c=15.235 alpha=90.00 beta=90.00 gamma=90.00
Space group Immm (No. 71)
Symmetry-distinct sites (fractional):
Pu (0.000, 0.241, 0.000)
Pu (0.000, 0.252, 0.338)
Rh (0.000, 0.000, 0.176)
Rh (0.000, 0.000, 0.500)
Rh (0.000, 0.500, 0.174)

Principal peaks in the range 2θ from 10° to 80°, in order of rising 2θ:
2θ = 25.62°, I 28, hkl 1 0 3; 2θ = 35.35°, I 30, hkl 0 0 6; 2θ = 37.72°, I 26, hkl 2 0 0; 2θ = 37.96°, I 100, hkl 1 2 3; 2θ = 52.66°, I 19, hkl 2 0 6; 2θ = 65.19°, I 20, hkl 1 2 9

---

(4)
# Ti3Ga2Cu
Calculated powder XRD pattern, Cu Kα (weighted mean of Kα1 and Kα2). Input: a crystal structure in Alexandria, relaxed with PBE.
Intensities are scaled so that the largest is 100.

Structural model:
Unit cell a=2.808 b=2.808 c=11.620 alpha=90.00 beta=90.00 gamma=90.00
Space group P4/mmm (No. 123)
Symmetry-distinct sites (fractional):
Ti (0.000, 0.000, 0.000)
Ti (0.000, 0.000, 0.340)
Ga (0.500, 0.500, 0.171)
Cu (0.500, 0.500, 0.500)

Principal peaks in the range 2θ from 10° to 80°, in order of rising 2θ:
2θ = 22.96°, I 4, hkl 0 0 3; 2θ = 39.64°, I 100, hkl 1 0 3; 2θ = 45.70°, I 33, hkl 1 1 0; 2θ = 46.91°, I 15, hkl 0 0 6; 2θ = 66.61°, I 10, hkl 2 0 0; 2θ = 67.57°, I 18, hkl 1 1 6

---

(5)
# GaCu2F8
Calculated powder XRD pattern, Cu Kα (weighted mean of Kα1 and Kα2). Input: a crystal structure in Alexandria, relaxed with PBE.
Intensities are scaled so that the largest is 100.

Structural model:
Unit cell a=6.1833 b=6.1833 c=3.9372 alpha=90.00 beta=90.00 gamma=120.00
Space group P-3m1 (No. 164)
Symmetry-distinct sites (fractional):
Ga (0.0000, 0.0000, 0.0000)
Cu (0.3333, 0.6667, 0.7660)
F (0.1540, 0.3080, 0.7484)
F (0.3333, 0.6667, 0.2616)

Principal peaks in the range 2θ from 10° to 80°, in order of rising 2θ:
2θ = 28.13°, I 81, hkl 1 0 1; 2θ = 28.88°, I 100, hkl 1 1 0; 2θ = 50.72°, I 37, hkl 2 1 1; 2θ = 58.16°, I 25, hkl 0 2 2; 2θ = 59.83°, I 30, hkl 2 2 0; 2θ = 66.23°, I 19, hkl 2 1 2

---

(6)
# Hg5Au3
Calculated powder XRD pattern, Cu Kα (weighted mean of Kα1 and Kα2). Input: a crystal structure in Alexandria, relaxed with PBE.
Intensities are scaled so that the largest is 100.

Structural model:
Unit cell a=8.2406 b=8.2406 c=6.0431 alpha=90.00 beta=90.00 gamma=120.00
Space group P6_3/mcm (No. 193)
Symmetry-distinct sites (fractional):
Hg (0.0000, 0.2277, 0.2500)
Hg (0.3333, 0.6667, 0.0000)
Au (0.0000, 0.3991, 0.7500)

Principal peaks in the range 2θ from 10° to 80°, in order of rising 2θ:
2θ = 33.21°, I 31, hkl 2 1 0; 2θ = 36.48°, I 100, hkl 2 1 1; 2θ = 36.89°, I 64, hkl 1 1 2; 2θ = 37.82°, I 27, hkl 3 0 0; 2θ = 57.06°, I 28, hkl 2 1 3; 2θ = 73.36°, I 22, hkl 5 0 2